For Cd2GaWO6, a structure optimized by DFT (GGA+U) gives the computed PXRD pattern in this record (Cu Kα X-rays).
Kinematic intensities with the Lorentz-polarization factor, no thermal factor.

Structural model:
a = 5.2733 Å, b = 5.2733 Å, c = 4.9415 Å
α = 90.00°, β = 90.00°, γ = 90.00°
Positions (direct):
Cd1 0.0000 0.5000 0.0000
Cd2 0.5000 0.0000 0.0000
Ga1 0.0000 0.0000 0.5716
W1 0.5000 0.5000 0.5689
O1 0.0000 0.0000 0.1987
O2 0.2506 0.2506 0.7076
O3 0.2506 0.7494 0.7076
O4 0.5000 0.5000 0.2007
O5 0.7494 0.2506 0.7076
O6 0.7494 0.7494 0.7076

Most intense lines, 10° ≤ 2θ ≤ 90°, in order of rising 2θ:
- (1 1 1), 2θ = 30.02°, intensity 100.0
- (2 0 0), 2θ = 34.00°, intensity 35.2
- (2 2 0), 2θ = 48.85°, intensity 20.2
- (2 0 2), 2θ = 50.63°, intensity 23.1
- (3 1 1), 2θ = 58.41°, intensity 30.0
- (3 1 3), 2θ = 82.25°, intensity 12.0